# K2Sb3Pt2
Theoretical powder XRD pattern, Cu Kα X-rays. Input: a cell relaxed with GGA-PBE.
No peak broadening, texture or thermal motion is included.

Main lines, by angle (2θ = 10–80°):
2θ (°)	I_rel
12.88	100
15.21	38
25.66	20
26.50	24
28.16	22
34.74	23
36.71	23
41.88	18
43.15	23
47.08	18

Structure:
Cell lengths 6.940, 7.141, 8.920 Å; angles 90.00, 97.89, 90.00 degrees
Element x y z (fractional)
K 0.008 0.250 0.265
K 0.225 0.750 0.199
K 0.775 0.250 0.801
K 0.992 0.750 0.735
Sb 0.299 0.250 0.958
Sb 0.329 0.038 0.570
Sb 0.329 0.462 0.570
Sb 0.671 0.538 0.430
Sb 0.671 0.962 0.430
Sb 0.701 0.750 0.042
Pt 0.437 0.558 0.849
Pt 0.437 0.942 0.849
Pt 0.563 0.058 0.151
Pt 0.563 0.442 0.151